Calculated powder diffractogram
Compound: ZnCr4CdSe8
Radiation: Cu Kα, 1.54184 Å
Structure: a DFT-relaxed cell (GGA-PBE, the Materials Project)
Kinematic intensities with the Lorentz-polarization factor, no thermal factor.

Structure:
Cell lengths 10.758, 10.758, 10.758 Å; angles 90.00, 90.00, 90.00 degrees
Space group F-43m (No. 216)
Symmetry-distinct sites (fractional):
Zn (0.000, 0.000, 0.000) x4
Cr (0.125, 0.125, 0.375) x16
Cd (0.250, 0.250, 0.750) x4
Se (0.109, 0.109, 0.609) x16
Se (0.136, 0.136, 0.136) x16

Main lines, in order of rising 2θ (2θ = 10–80°):
- (2 2 0), 23.39°, I 32
- (3 1 1), 27.50°, I 48
- (2 2 2), 28.75°, I 47
- (4 0 0), 33.31°, I 61
- (5 1 1), 43.72°, I 48
- (4 4 0), 47.83°, I 100
- (6 2 2), 56.76°, I 15
- (8 0 0), 69.96°, I 13


Calculated powder diffractogram
Compound: YMgIn
Radiation: Cu Kα, 1.54184 Å
Structure: a DFT-relaxed cell (GGA-PBE, the Materials Project)
Kinematic intensities with the Lorentz-polarization factor, no thermal factor.

Structure:
Cell lengths 7.5516, 7.5516, 4.6872 Å; angles 90.00, 90.00, 120.00 degrees
Space group P-62m (No. 189)
Symmetry-distinct sites (fractional):
Y (0.0000, 0.4340, 0.0000) x3
Mg (0.0000, 0.7579, 0.5000) x3
In (0.0000, 0.0000, 0.0000) x1
In (0.3333, 0.6667, 0.5000) x2

Main lines, in order of rising 2θ (2θ = 10–80°):
- (1 0 1), 23.35°, I 19
- (1 1 0), 23.56°, I 31
- (1 1 1), 30.40°, I 43
- (2 0 1), 33.41°, I 100
- (0 0 2), 38.41°, I 25
- (2 1 1), 41.29°, I 24
- (3 0 0), 41.42°, I 20
- (4 1 0), 65.33°, I 23


Calculated powder diffractogram
Compound: Sr4MgTi3O10
Radiation: Cu Kα, 1.54184 Å
Structure: a DFT-relaxed cell (GGA-PBE, the Materials Project)
Kinematic intensities with the Lorentz-polarization factor, no thermal factor.

Structure:
Cell lengths 3.947, 3.966, 16.328 Å; angles 93.81, 90.03, 90.03 degrees
Space group P1 (No. 1)
Symmetry-distinct sites (fractional):
Sr (0.000, 0.000, 0.000) x1
Sr (0.002, 0.128, 0.473) x1
Sr (0.503, 0.461, 0.832) x1
Sr (0.998, 0.060, 0.230) x1
Mg (0.504, 0.718, 0.604) x1
Ti (0.004, 0.951, 0.728) x1
Ti (0.499, 0.530, 0.107) x1
Ti (0.500, 0.593, 0.353) x1
O (0.000, 0.534, 0.116) x1
O (0.001, 0.607, 0.369) x1
O (0.002, 0.941, 0.851) x1
O (0.003, 0.847, 0.605) x1
O (0.004, 0.408, 0.733) x1
O (0.500, 0.034, 0.115) x1
O (0.501, 0.106, 0.364) x1
O (0.501, 0.572, 0.238) x1
O (0.502, 0.500, 0.991) x1
O (0.503, 0.899, 0.724) x1

Main lines, in order of rising 2θ (2θ = 10–80°):
- (0 1 -4), 30.43°, I 49
- (1 0 4), 31.57°, I 100
- (1 1 0), 32.03°, I 99
- (0 1 4), 32.58°, I 37
- (0 0 8), 44.49°, I 32
- (0 2 -1), 45.84°, I 39
- (2 0 0), 45.99°, I 42
- (2 -2 1), 66.96°, I 23


Calculated powder diffractogram
Compound: CdSbS2Cl
Radiation: Cu Kα, 1.54184 Å
Structure: a DFT-relaxed cell (GGA-PBE, the Materials Project)
Kinematic intensities with the Lorentz-polarization factor, no thermal factor.

Structure:
Cell lengths 9.743, 3.948, 12.714 Å; angles 90.00, 90.00, 90.00 degrees
Space group Pnma (No. 62)
Symmetry-distinct sites (fractional):
Cd (0.000, 0.250, 0.231) x4
Sb (0.183, 0.250, 0.533) x4
S (0.052, 0.750, 0.389) x4
S (0.240, 0.750, 0.666) x4
Cl (0.073, 0.250, 0.894) x4

Main lines, in order of rising 2θ (2θ = 10–80°):
- (2 0 2), 23.00°, I 77
- (1 1 1), 25.33°, I 23
- (3 0 1), 28.36°, I 27
- (0 1 3), 30.95°, I 100
- (1 1 3), 32.35°, I 68
- (0 2 0), 46.00°, I 38
- (2 1 5), 46.38°, I 38
- (2 2 2), 52.00°, I 24


Calculated powder diffractogram
Compound: LiLaMg6
Radiation: Cu Kα, 1.54184 Å
Structure: a DFT-relaxed cell (GGA-PBE, the Materials Project)
Kinematic intensities with the Lorentz-polarization factor, no thermal factor.

Structure:
Cell lengths 5.203, 6.656, 11.693 Å; angles 90.00, 90.00, 90.00 degrees
Space group Amm2 (No. 38)
Symmetry-distinct sites (fractional):
Li (0.000, 0.000, 0.000) x2
La (0.500, 0.000, 0.829) x2
Mg (0.000, 0.000, 0.492) x2
Mg (0.000, 0.241, 0.238) x4
Mg (0.500, 0.000, 0.321) x2
Mg (0.500, 0.243, 0.080) x4

Main lines, in order of rising 2θ (2θ = 10–80°):
- (0 0 2), 15.15°, I 42
- (0 1 1), 15.32°, I 54
- (1 0 0), 17.04°, I 39
- (1 1 1), 22.99°, I 71
- (0 2 2), 30.92°, I 39
- (2 0 0), 34.47°, I 35
- (1 0 4), 35.22°, I 55
- (1 2 2), 35.51°, I 100


Calculated powder diffractogram
Compound: KScH4C4O10
Radiation: Cu Kα, 1.54184 Å
Structure: a DFT-relaxed cell (GGA-PBE, the Materials Project)
Kinematic intensities with the Lorentz-polarization factor, no thermal factor.

Structure:
Cell lengths 8.9632, 8.9632, 11.5972 Å; angles 90.00, 90.00, 120.00 degrees
Space group P6_222 (No. 180)
Symmetry-distinct sites (fractional):
K (0.0000, 0.0000, 0.0000) x3
Sc (0.0000, 0.5000, 0.6667) x3
H (0.0986, 0.3468, 0.1825) x12
C (0.2105, 0.4211, 0.5000) x6
C (0.3092, 0.6185, 0.5000) x6
O (0.0000, 0.2319, 0.1667) x6
O (0.0803, 0.3469, 0.5651) x12
O (0.2406, 0.5512, 0.7766) x12

Main lines, in order of rising 2θ (2θ = 10–80°):
- (1 0 1), 13.73°, I 100
- (1 0 2), 19.10°, I 23
- (1 1 0), 19.81°, I 11
- (1 1 2), 25.11°, I 8
- (2 0 3), 32.70°, I 48
- (3 0 2), 38.08°, I 11
- (2 1 4), 43.91°, I 14
- (4 0 0), 46.83°, I 14


Calculated powder diffractogram
Compound: Ti3Ge
Radiation: Cu Kα, 1.54184 Å
Structure: a DFT-relaxed cell (GGA-PBE, the Materials Project)
Kinematic intensities with the Lorentz-polarization factor, no thermal factor.

Structure:
Cell lengths 10.218, 10.218, 5.139 Å; angles 90.00, 90.00, 90.00 degrees
Space group I-4 (No. 82)
Symmetry-distinct sites (fractional):
Ti (0.025, 0.355, 0.484) x8
Ti (0.083, 0.895, 0.283) x8
Ti (0.187, 0.784, 0.738) x8
Ge (0.033, 0.291, 0.978) x8

Main lines, in order of rising 2θ (2θ = 10–80°):
- (3 2 1), 36.20°, I 77
- (1 1 2), 37.14°, I 62
- (3 3 0), 37.34°, I 55
- (2 4 0), 39.44°, I 49
- (4 1 1), 40.41°, I 100
- (2 2 2), 43.21°, I 69
- (1 3 2), 45.08°, I 45
- (5 1 0), 45.25°, I 44